For Ho3Mg5Rh2, a structure optimized by DFT (GGA-PBE) gives the calculated X-ray diffraction stick pattern in this record (Cu Ka).
Intensities are scaled so that the largest is 100.

Principal peaks in the range 2θ = 10–90°, sorted by position:
two_theta, intensity
10.43, 100
20.90, 28
29.94, 28
31.88, 19
32.06, 30
34.08, 17
35.90, 37
37.18, 18
37.98, 29
38.77, 23

```
20
Lattice="-5.2261 7.2540 3.0448 5.2261 -7.2540 3.0448 5.2261 7.2540 -3.0448" Properties=species:S:1:pos:R:3 pbc="T T T"
Ho 2.1687 2.5229 0.0000
Ho 0.0000 0.0000 1.5224
Ho 2.1687 -2.5229 3.0448
Ho 3.0574 9.7769 0.0000
Ho 0.0000 0.0000 4.5672
Ho 3.0574 4.7311 3.0448
Mg 5.2261 -2.8297 1.5224
Mg 7.5590 1.0414 0.0000
Mg 5.2261 0.0000 1.5224
Mg 2.3328 6.2126 0.0000
Mg 5.2261 2.8297 1.5224
Mg 0.0000 4.4243 1.5224
Mg 2.8933 1.0414 3.0448
Mg 0.0000 7.2540 1.5224
Mg -2.3328 6.2126 3.0448
Mg 0.0000 10.0836 1.5224
Rh 4.5845 -4.9087 3.0448
Rh 4.5845 4.9087 0.0000
Rh 0.6416 2.3452 3.0448
Rh 0.6416 12.1627 0.0000
```